Diffraction record for LiMn5O3F5. The X-ray powder pattern is simulated, not measured: it uses the PBE+U geometry in Alexandria and CuKα.

Structure:
abc: 6.401 6.401 6.386
angles: 119.68 119.68 59.58
Element x y z (fractional)
Li  0.000  0.000  0.000
Mn  0.323  0.323  0.573
Mn  0.469  0.993  0.986
Mn  0.626  0.626  0.337
Mn  0.981  0.981  0.478
Mn  0.993  0.469  0.986
O  0.206  0.206  0.729
O  0.216  0.216  0.196
O  0.755  0.755  0.211
F  0.216  0.736  0.732
F  0.223  0.741  0.212
F  0.736  0.216  0.732
F  0.736  0.736  0.734
F  0.741  0.223  0.212

Most intense lines, 2θ from 10° to 90°, in order of rising 2θ:
2θ/deg	I (rel.)
16.98	16
27.90	68
32.59	50
32.92	100
32.98	21
39.51	16
40.01	27
52.77	30
57.38	31
57.60	24